This entry pairs a crystal structure of BaCr4Co3O12 with its computed powder diffractogram. Radiation: Cu Kα. Structure: the GGA+U geometry in Alexandria.

Top 10 peaks for 10 to 90 degrees two-theta, low angle first:
- 16.72°, I 8
- 29.17°, I 4
- 33.80°, I 100
- 37.94°, I 11
- 41.72°, I 5
- 45.24°, I 9
- 48.55°, I 24
- 60.47°, I 48
- 71.11°, I 12
- 81.10°, I 16

Structure:
Cell lengths 6.4953, 6.4953, 6.4953 Å; angles 109.47, 109.47, 109.47 degrees
Positions (direct):
Ba (0.0000, 0.0000, 0.0000)
Cr (0.0000, 0.0000, 0.5000)
Cr (0.0000, 0.5000, 0.0000)
Cr (0.5000, 0.0000, 0.0000)
Cr (0.5000, 0.5000, 0.5000)
Co (0.0000, 0.5000, 0.5000)
Co (0.5000, 0.0000, 0.5000)
Co (0.5000, 0.5000, 0.0000)
O (0.1421, 0.3190, 0.8231)
O (0.1769, 0.4959, 0.3190)
O (0.1769, 0.8579, 0.6810)
O (0.3190, 0.1769, 0.4959)
O (0.3190, 0.8231, 0.1421)
O (0.4959, 0.3190, 0.1769)
O (0.5041, 0.6810, 0.8231)
O (0.6810, 0.1769, 0.8579)
O (0.6810, 0.8231, 0.5041)
O (0.8231, 0.1421, 0.3190)
O (0.8231, 0.5041, 0.6810)
O (0.8579, 0.6810, 0.1769)